[1]
# PmNd2Ag4
Calculated powder diffractogram, a wavelength of 1.5418 Å. Input: the GGA-PBE geometry in Alexandria.
No peak broadening, texture or thermal motion is included.

Principal peaks in the range 2θ from 10° to 90°, sorted by position:
| two_theta | I (rel.) |
| --- | --- |
| 26.40 | 326 |
| 32.70 | 814 |
| 36.31 | 1000 |
| 42.51 | 182 |
| 46.93 | 292 |
| 60.74 | 430 |

Crystal structure
```
PmNd2Ag4
1.0
-2.738 2.738 6.431
2.738 -2.738 6.431
2.738 2.738 -6.431
Pm Nd Ag
1 2 4
direct
0.000 0.000 0.000
0.280 0.280 0.000
0.720 0.720 0.000
0.118 0.618 0.500
0.382 0.882 0.500
0.618 0.118 0.500
0.882 0.382 0.500
```


[2]
# Pm2NdAg
Calculated powder diffractogram, a wavelength of 1.5418 Å. Input: the GGA-PBE geometry in Alexandria.
No peak broadening, texture or thermal motion is included.

Principal peaks in the range 2θ from 10° to 90°, sorted by position:
| two_theta | I (rel.) |
| --- | --- |
| 31.44 | 1000 |
| 34.15 | 454 |
| 40.77 | 83 |
| 49.06 | 162 |
| 54.20 | 143 |
| 59.44 | 320 |

Crystal structure
```
Pm2NdAg
1.0
3.714 0.000 0.000
0.000 3.714 0.000
0.000 0.000 8.853
Pm Nd Ag
2 1 1
direct
0.000 0.000 0.212
0.000 0.000 0.788
0.500 0.500 0.500
0.500 0.500 0.000
```


[3]
# PmNd2Ag
Calculated powder diffractogram, a wavelength of 1.5418 Å. Input: the GGA-PBE geometry in Alexandria.
No peak broadening, texture or thermal motion is included.

Principal peaks in the range 2θ from 10° to 90°, sorted by position:
| two_theta | I (rel.) |
| --- | --- |
| 31.21 | 1000 |
| 33.43 | 267 |
| 34.14 | 468 |
| 39.73 | 239 |
| 49.32 | 351 |
| 60.89 | 279 |

Crystal structure
```
PmNd2Ag
1.0
1.848 1.067 10.723
-1.848 1.067 10.723
0.000 -2.134 10.723
Pm Nd Ag
1 2 1
direct
0.000 0.000 0.000
0.574 0.574 0.574
0.760 0.760 0.760
0.168 0.168 0.168
```


[4]
# PmNd3Ag3
Calculated powder diffractogram, a wavelength of 1.5418 Å. Input: the GGA-PBE geometry in Alexandria.
No peak broadening, texture or thermal motion is included.

Principal peaks in the range 2θ from 10° to 90°, sorted by position:
| two_theta | I (rel.) |
| --- | --- |
| 28.58 | 153 |
| 32.36 | 280 |
| 34.25 | 1000 |
| 36.81 | 181 |
| 49.82 | 181 |
| 58.93 | 223 |

Crystal structure
```
PmNd3Ag3
1.0
4.883 -5.533 0.000
4.883 5.533 0.000
0.000 0.000 7.491
Pm Nd Ag
2 6 6
direct
0.225 0.775 0.000
0.775 0.225 0.000
0.216 0.784 0.500
0.290 0.290 0.000
0.295 0.295 0.500
0.705 0.705 0.500
0.710 0.710 0.000
0.784 0.216 0.500
0.000 0.000 0.239
0.000 0.000 0.761
0.000 0.500 0.249
0.000 0.500 0.751
0.500 0.000 0.249
0.500 0.000 0.751
```


[5]
# PmNd2Ag5
Calculated powder diffractogram, a wavelength of 1.5418 Å. Input: the GGA-PBE geometry in Alexandria.
No peak broadening, texture or thermal motion is included.

Principal peaks in the range 2θ from 10° to 90°, sorted by position:
| two_theta | I (rel.) |
| --- | --- |
| 34.62 | 560 |
| 34.77 | 1000 |
| 49.77 | 195 |
| 62.14 | 355 |
| 62.44 | 127 |
| 83.45 | 163 |

Crystal structure
```
PmNd2Ag5
1.0
-2.591 2.591 7.266
2.591 -2.591 7.266
2.591 2.591 -7.266
Pm Nd Ag
1 2 5
direct
0.000 0.000 0.000
0.270 0.270 0.000
0.730 0.730 0.000
0.115 0.615 0.500
0.385 0.885 0.500
0.500 0.500 0.000
0.615 0.115 0.500
0.885 0.385 0.500
```


[6]
# Pm2NdAg6
Calculated powder diffractogram, a wavelength of 1.5418 Å. Input: the GGA-PBE geometry in Alexandria.
No peak broadening, texture or thermal motion is included.

Principal peaks in the range 2θ from 10° to 90°, sorted by position:
| two_theta | I (rel.) |
| --- | --- |
| 29.66 | 545 |
| 33.91 | 808 |
| 36.12 | 441 |
| 36.39 | 593 |
| 38.11 | 1000 |
| 65.06 | 356 |

Crystal structure
```
Pm2NdAg6
1.0
-1.804 4.023 7.461
1.804 -4.023 7.461
1.804 4.023 -7.461
Pm Nd Ag
2 1 6
direct
0.142 0.142 0.000
0.858 0.858 0.000
0.500 0.000 0.500
0.146 0.325 0.821
0.180 0.500 0.680
0.496 0.675 0.821
0.504 0.325 0.179
0.820 0.500 0.320
0.854 0.675 0.179
```


[7]
# Pm2NdAg4
Calculated powder diffractogram, a wavelength of 1.5418 Å. Input: the GGA-PBE geometry in Alexandria.
No peak broadening, texture or thermal motion is included.

Principal peaks in the range 2θ from 10° to 90°, sorted by position:
| two_theta | I (rel.) |
| --- | --- |
| 26.43 | 299 |
| 32.76 | 791 |
| 36.36 | 1000 |
| 42.58 | 167 |
| 47.01 | 283 |
| 60.85 | 429 |

Crystal structure
```
Pm2NdAg4
1.0
-2.733 2.733 6.425
2.733 -2.733 6.425
2.733 2.733 -6.425
Pm Nd Ag
2 1 4
direct
0.222 0.222 0.000
0.778 0.778 0.000
0.500 0.500 0.000
0.120 0.620 0.500
0.380 0.880 0.500
0.620 0.120 0.500
0.880 0.380 0.500
```


[8]
# PmNdAgPt
Calculated powder diffractogram, a wavelength of 1.5418 Å. Input: the GGA-PBE geometry in Alexandria.
No peak broadening, texture or thermal motion is included.

Principal peaks in the range 2θ from 10° to 90°, sorted by position:
| two_theta | I (rel.) |
| --- | --- |
| 30.74 | 1000 |
| 32.52 | 282 |
| 37.84 | 252 |
| 38.20 | 340 |
| 38.64 | 766 |
| 46.28 | 197 |

Crystal structure
```
PmNdAgPt
1.0
4.712 0.000 0.000
0.000 1.962 5.507
0.000 -1.962 5.507
Pm Nd Ag Pt
1 1 1 1
direct
0.000 0.000 0.000
0.500 0.724 0.724
0.000 0.281 0.281
0.500 0.448 0.448
```